Computed XRD peak list
Compound: Ga11Pb
Radiation: copper Kα
Structure: a DFT-relaxed cell (GGA-PBE, Alexandria)
Lines closer than 0.1° are merged.

Atomic structure:
```
Ga11Pb
1.0
-5.4656 5.4656 4.0899
5.4656 -5.4656 4.0899
5.4656 5.4656 -4.0899
Ga Pb
22 2
Direct
0.0000 0.0000 0.0000
0.0000 0.0000 0.5000
0.0000 0.5000 0.0000
0.1119 0.5384 0.3308
0.1119 0.7812 0.5736
0.1250 0.8750 0.2500
0.2188 0.2924 0.3308
0.2188 0.8881 0.9264
0.2924 0.2188 0.8308
0.2924 0.4616 0.0736
0.4616 0.2924 0.5736
0.4616 0.8881 0.1692
0.5000 0.0000 0.5000
0.5384 0.1119 0.8308
0.5384 0.7076 0.4264
0.7076 0.5384 0.9264
0.7076 0.7812 0.1692
0.7812 0.1119 0.0736
0.7812 0.7076 0.6692
0.8750 0.1250 0.7500
0.8881 0.2188 0.4264
0.8881 0.4616 0.6692
0.3750 0.6250 0.7500
0.6250 0.3750 0.2500
```

Principal peaks in the range 2θ from 15° to 90°, sorted by position:
2θ/deg  d [Å]  I/Imax
24.63  3.615  10
31.47  2.843  28
33.94  2.641  100
36.77  2.444  37
42.82  2.112  18
43.11  2.098  10
46.07  1.970  9
47.87  1.900  11
58.88  1.568  13
64.43  1.446  21